No. 1
This entry pairs a crystal structure of Ba2SrI6 with its calculated X-ray diffraction stick pattern. Radiation: Cu Kα (weighted mean of Kα1 and Kα2). Structure: DFT lattice parameters and positions (GGA-PBE).
Kinematic intensities with the Lorentz-polarization factor, no thermal factor.

Atomic structure:
```
Ba2SrI6
1.0
-7.7656 7.7656 7.7656
7.7656 -7.7656 7.7656
7.7656 7.7656 -7.7656
Ba Sr I
8 4 24
Direct
0.0000 0.1893 0.5000
0.0000 0.8107 0.5000
0.1893 0.5000 0.0000
0.3107 0.3107 0.3107
0.5000 0.0000 0.1893
0.5000 0.0000 0.8107
0.6893 0.6893 0.6893
0.8107 0.5000 0.0000
0.0000 0.0000 0.0000
0.0000 0.5000 0.5000
0.5000 0.0000 0.5000
0.5000 0.5000 0.0000
0.0194 0.5825 0.2989
0.0630 0.2835 0.0825
0.0825 0.0630 0.2835
0.2011 0.7835 0.7205
0.2165 0.2795 0.7989
0.2205 0.4370 0.5194
0.2795 0.7989 0.2165
0.2835 0.0825 0.0630
0.2989 0.0194 0.5825
0.4175 0.7011 0.9806
0.4370 0.5194 0.2205
0.4806 0.7795 0.5630
0.5194 0.2205 0.4370
0.5630 0.4806 0.7795
0.5825 0.2989 0.0194
0.7011 0.9806 0.4175
0.7165 0.9175 0.9370
0.7205 0.2011 0.7835
0.7795 0.5630 0.4806
0.7835 0.7205 0.2011
0.7989 0.2165 0.2795
0.9175 0.9370 0.7165
0.9370 0.7165 0.9175
0.9806 0.4175 0.7011
```

The 10 most intense peaks (10° ≤ 2θ ≤ 80°), most intense first:
2theta, I_rel
22.90, 1000
24.31, 984
37.53, 597
32.61, 568
26.93, 531
29.32, 521
46.01, 509
31.55, 485
13.97, 407
41.10, 358

=====

No. 2
This entry pairs a crystal structure of CuAgSe with its calculated X-ray diffraction stick pattern. Radiation: Cu Kα (weighted mean of Kα1 and Kα2). Structure: DFT lattice parameters and positions (GGA-PBE).
Kinematic intensities with the Lorentz-polarization factor, no thermal factor.

Atomic structure:
```
CuAgSe
1.0
4.1447 0.0000 0.0000
0.0000 4.1497 0.0000
0.0000 0.0000 6.2349
Cu Ag Se
2 2 2
Direct
0.2500 0.2500 0.0015
0.7500 0.7500 0.9985
0.2500 0.7500 0.3131
0.7500 0.2500 0.6869
0.2500 0.7500 0.7521
0.7500 0.2500 0.2479
```

The 10 most intense peaks (10° ≤ 2θ ≤ 80°), most intense first:
2theta, I_rel
42.31, 1000
33.78, 458
43.60, 429
30.48, 363
43.68, 299
79.25, 295
36.04, 207
63.44, 187
63.36, 157
28.63, 113

=====

No. 3
This entry pairs a crystal structure of HgI3N with its calculated X-ray diffraction stick pattern. Radiation: Cu Kα (weighted mean of Kα1 and Kα2). Structure: DFT lattice parameters and positions (GGA-PBE).
Kinematic intensities with the Lorentz-polarization factor, no thermal factor.

Atomic structure:
```
HgI3N
1.0
8.9395 0.0000 0.0000
0.0000 10.8694 0.0000
-8.1798 0.0000 11.9615
Hg I N
4 12 4
Direct
0.1592 0.1014 0.1352
0.1592 0.3986 0.6352
0.8408 0.6014 0.3648
0.8408 0.8986 0.8648
0.1886 0.9998 0.9608
0.1886 0.5002 0.4608
0.3738 0.6596 0.8424
0.3738 0.8404 0.3424
0.3754 0.2341 0.7898
0.3754 0.2659 0.2898
0.6246 0.7341 0.7102
0.6246 0.7659 0.2102
0.6262 0.1596 0.6576
0.6262 0.3404 0.1576
0.8114 0.0001 0.0392
0.8114 0.4998 0.5392
0.2445 0.6400 0.9150
0.2445 0.8600 0.4150
0.7555 0.1400 0.5850
0.7555 0.3600 0.0850
```

The 10 most intense peaks (10° ≤ 2θ ≤ 80°), most intense first:
2theta, I_rel
12.83, 1000
11.00, 770
23.88, 427
24.66, 293
22.10, 259
20.29, 244
16.92, 240
25.67, 202
26.96, 181
28.81, 175

=====

No. 4
This entry pairs a crystal structure of V2CN with its calculated X-ray diffraction stick pattern. Radiation: Cu Kα (weighted mean of Kα1 and Kα2). Structure: DFT lattice parameters and positions (GGA-PBE).
Kinematic intensities with the Lorentz-polarization factor, no thermal factor.

Atomic structure:
```
V2CN
1.0
2.9346 0.0000 0.0000
-1.4673 2.5414 0.0000
0.0000 0.0000 14.3609
V C N
6 3 3
Direct
0.0000 0.0000 0.2445
0.0000 0.0000 0.7555
0.3333 0.6667 0.4222
0.3333 0.6667 0.9111
0.6667 0.3333 0.0889
0.6667 0.3333 0.5778
0.0000 0.0000 0.5000
0.3333 0.6667 0.1667
0.6667 0.3333 0.8333
0.0000 0.0000 0.0000
0.3333 0.6667 0.6667
0.6667 0.3333 0.3333
```

The 8 most intense peaks (10° ≤ 2θ ≤ 80°), most intense first:
2theta, I_rel
43.64, 1000
37.55, 824
63.42, 549
76.09, 275
57.77, 23
47.79, 20
18.54, 14
35.88, 5

=====

No. 5
This entry pairs a crystal structure of Tb3Co2Si3 with its calculated X-ray diffraction stick pattern. Radiation: Cu Kα (weighted mean of Kα1 and Kα2). Structure: DFT lattice parameters and positions (GGA-PBE).
Kinematic intensities with the Lorentz-polarization factor, no thermal factor.

Atomic structure:
```
Tb3Co2Si3
1.0
2.0534 -5.2614 0.0000
2.0534 5.2614 0.0000
0.0000 0.0000 13.6941
Tb Co Si
6 4 6
Direct
0.0806 0.9194 0.6116
0.0806 0.9194 0.8884
0.3627 0.6373 0.7500
0.6373 0.3627 0.2500
0.9194 0.0806 0.1116
0.9194 0.0806 0.3884
0.2144 0.7856 0.0800
0.2144 0.7856 0.4200
0.7856 0.2144 0.5800
0.7856 0.2144 0.9200
0.3298 0.6702 0.2500
0.3773 0.6227 0.5403
0.3773 0.6227 0.9597
0.6227 0.3773 0.0403
0.6227 0.3773 0.4597
0.6702 0.3298 0.7500
```

The 10 most intense peaks (10° ≤ 2θ ≤ 80°), most intense first:
2theta, I_rel
35.18, 1000
34.25, 763
25.84, 465
39.51, 443
39.12, 434
44.10, 366
24.15, 319
37.00, 254
60.69, 244
26.69, 241